This entry pairs a crystal structure of Fe4BrF6 with its calculated powder XRD pattern. Radiation: Cu Kα X-rays. Structure: a structure optimized by DFT (GGA+U).
Lines closer than 0.1° are merged.

Cell and atoms:
```
11
Lattice="4.5700 -3.7862 0.0000 4.5700 3.7862 0.0000 -4.5223 0.0000 4.7806" Properties=species:S:1:pos:R:3 pbc="T T T"
Fe 0.0000 0.0000 0.0000
Fe 2.1651 2.1107 2.5408
Fe 4.6914 0.0000 1.4610
Fe 2.1651 -2.1107 2.5408
Br 1.0355 0.0000 3.8254
F 0.9502 1.5325 1.0665
F -2.6320 0.0000 3.7818
F 0.9502 -1.5325 1.0665
F 3.9396 1.2328 3.0878
F 3.9396 -1.2328 3.0878
F 7.6423 0.0000 1.4513
```

Main lines, by angle (2θ from 5° to 70°):
2θ (°), d [Å], intensity
19.42, 4.570, 529
26.85, 3.320, 732
30.11, 2.968, 839
30.66, 2.916, 1000
32.09, 2.789, 519
32.96, 2.717, 573
36.19, 2.482, 577
42.95, 2.106, 588
44.84, 2.021, 458
46.92, 1.936, 349
48.06, 1.893, 343
55.92, 1.644, 322